Ba2NbCrO6: simulated X-ray diffraction stick pattern (Cu Kα), based on DFT lattice parameters and positions (GGA+U).
Lines closer than 0.1° are merged.

Top 8 peaks for 2θ from 10° to 90°, low angle first:
(hkl)  d [Å]  I (rel.)
1 0 5  3.055  81
1 1 0  2.916  100
1 0 6  2.702  17
2 0 5  2.109  45
2 0 6  1.982  14
2 1 5  1.709  29
3 0 0  1.684  19
2 2 0  1.458  19

Crystal structure
abc: 5.8319 5.8319 19.1863
angles: 90.00 90.00 120.00
Space group P6_3/mmc (No. 194)
Unique sites:
Ba  0.0000  0.0000  0.0000 [2 per cell]
Ba  0.3333  0.6667  0.1418 [4 per cell]
Ba  0.3333  0.6667  0.7500 [2 per cell]
Nb  0.3333  0.6667  0.5640 [4 per cell]
Cr  0.0000  0.0000  0.1817 [4 per cell]
O  0.0000  0.5000  0.0000 [6 per cell]
O  0.1503  0.3006  0.2500 [6 per cell]
O  0.1696  0.3393  0.6207 [12 per cell]